Entry 1:
# Tb7Sc3
Calculated powder diffractogram, λ = 1.5418 Å (Cu Kα). Input: a crystal structure in Alexandria, relaxed with PBE.

Structure:
Unit cell a=10.6731 b=10.6731 c=6.1321 alpha=90.00 beta=90.00 gamma=120.00
Atoms (fractional coordinates):
Tb 0.0529 0.5265 0.0000
Tb 0.1191 0.2382 0.8465
Tb 0.1191 0.8809 0.8465
Tb 0.2382 0.1191 0.3465
Tb 0.3333 0.6667 0.7533
Tb 0.4735 0.5265 0.0000
Tb 0.4735 0.9471 0.0000
Tb 0.5265 0.0529 0.5000
Tb 0.5265 0.4735 0.5000
Tb 0.6667 0.3333 0.2533
Tb 0.7618 0.8809 0.8465
Tb 0.8809 0.1191 0.3465
Tb 0.8809 0.7618 0.3465
Tb 0.9471 0.4735 0.5000
Sc 0.2209 0.4418 0.3595
Sc 0.2209 0.7791 0.3595
Sc 0.4418 0.2209 0.8595
Sc 0.5582 0.7791 0.3595
Sc 0.7791 0.2209 0.8595
Sc 0.7791 0.5582 0.8595

Principal peaks in the range 2θ from 10° to 80°, low angle first:
d/Å	Rel. int.
5.110	21
3.494	34
3.036	55
2.753	100
2.668	30
2.555	54
1.847	16
1.779	20
1.764	19
1.745	18

---

Entry 2:
# TbSc
Calculated powder diffractogram, λ = 1.5418 Å (Cu Kα). Input: a crystal structure in Alexandria, relaxed with PBE.

Structure:
Unit cell a=5.6150 b=5.5698 c=3.6177 alpha=90.00 beta=90.00 gamma=90.00
Atoms (fractional coordinates):
Tb 0.2500 0.0000 0.2479
Tb 0.7500 0.0000 0.7521
Sc 0.2500 0.5000 0.7482
Sc 0.7500 0.5000 0.2518

Principal peaks in the range 2θ from 10° to 80°, low angle first:
d/Å	Rel. int.
5.570	45
3.041	22
2.808	29
2.785	28
2.669	100
2.507	13
2.054	15
1.977	21
1.593	20
1.585	20

---

Entry 3:
# Tb3ScTe6
Calculated powder diffractogram, λ = 1.5418 Å (Cu Kα). Input: a crystal structure in Alexandria, relaxed with PBE.

Structure:
Unit cell a=7.2670 b=8.0002 c=12.9963 alpha=90.00 beta=122.47 gamma=90.00
Atoms (fractional coordinates):
Tb 0.0000 0.0000 0.0000
Tb 0.0000 0.5000 0.5000
Tb 0.3076 0.1222 0.7560
Tb 0.3076 0.3778 0.2560
Tb 0.6924 0.6222 0.7440
Tb 0.6924 0.8778 0.2440
Sc 0.5000 0.0000 0.5000
Sc 0.5000 0.5000 0.0000
Te 0.0968 0.0456 0.2586
Te 0.0968 0.4544 0.7586
Te 0.2476 0.6696 0.0783
Te 0.2476 0.8304 0.5783
Te 0.4193 0.1805 0.0756
Te 0.4193 0.3195 0.5756
Te 0.5807 0.6805 0.4244
Te 0.5807 0.8195 0.9244
Te 0.7524 0.1696 0.4217
Te 0.7524 0.3304 0.9217
Te 0.9032 0.5456 0.2414
Te 0.9032 0.9544 0.7414

Principal peaks in the range 2θ from 10° to 80°, low angle first:
d/Å	Rel. int.
3.350	57
3.305	56
3.231	81
3.188	100
3.051	56
2.996	57
2.698	62
2.503	83
2.154	44
2.116	52

---

Entry 4:
# Tb4ScTe5
Calculated powder diffractogram, λ = 1.5418 Å (Cu Kα). Input: a crystal structure in Alexandria, relaxed with PBE.

Structure:
Unit cell a=7.5081 b=7.5081 c=7.5081 alpha=99.59 beta=99.59 gamma=131.83
Atoms (fractional coordinates):
Tb 0.0901 0.3129 0.4030
Tb 0.3129 0.9099 0.2228
Tb 0.6871 0.0901 0.7772
Tb 0.9099 0.6871 0.5970
Sc 0.5019 0.5019 0.0000
Te 0.0012 0.0012 0.0000
Te 0.2153 0.6047 0.8200
Te 0.3953 0.2153 0.6105
Te 0.6047 0.7848 0.3895
Te 0.7848 0.3953 0.1800

Principal peaks in the range 2θ from 10° to 80°, low angle first:
d/Å	Rel. int.
6.854	4
3.065	100
2.858	5
2.462	5
2.167	74
1.770	26
1.542	4
1.532	11
1.371	30
1.251	22

---

Entry 5:
# Tb2ScTe5
Calculated powder diffractogram, λ = 1.5418 Å (Cu Kα). Input: a crystal structure in Alexandria, relaxed with PBE.

Structure:
Unit cell a=7.9891 b=7.9891 c=13.2309 alpha=90.00 beta=90.00 gamma=135.19
Atoms (fractional coordinates):
Tb 0.1633 0.8367 0.5638
Tb 0.1633 0.8367 0.9362
Tb 0.8367 0.1633 0.0638
Tb 0.8367 0.1633 0.4362
Sc 0.1965 0.8035 0.2500
Sc 0.8035 0.1965 0.7500
Te 0.0349 0.9651 0.1246
Te 0.0349 0.9651 0.3754
Te 0.2868 0.7132 0.7500
Te 0.3247 0.6753 0.0827
Te 0.3247 0.6753 0.4173
Te 0.6753 0.3247 0.5827
Te 0.6753 0.3247 0.9173
Te 0.7132 0.2868 0.2500
Te 0.9651 0.0349 0.6246
Te 0.9651 0.0349 0.8754

Principal peaks in the range 2θ from 10° to 80°, low angle first:
d/Å	Rel. int.
7.386	40
6.615	20
5.630	73
3.787	80
3.045	100
2.831	98
2.462	23
2.373	46
2.073	81
1.914	20

---

Entry 6:
# Tb2ThSc
Calculated powder diffractogram, λ = 1.5418 Å (Cu Kα). Input: a crystal structure in Alexandria, relaxed with PBE.

Structure:
Unit cell a=11.3727 b=11.3727 c=11.3727 alpha=17.86 beta=17.86 gamma=17.86
Atoms (fractional coordinates):
Tb 0.0000 0.0000 0.0000
Tb 0.1626 0.1626 0.1626
Th 0.5810 0.5810 0.5810
Sc 0.4152 0.4152 0.4152

Principal peaks in the range 2θ from 10° to 80°, low angle first:
d/Å	Rel. int.
3.008	64
2.797	44
2.783	100
2.578	90
2.261	23
1.887	21
1.766	35
1.659	19
1.530	20
1.493	39

---

Entry 7:
# Tb12ThSc6
Calculated powder diffractogram, λ = 1.5418 Å (Cu Kα). Input: a crystal structure in Alexandria, relaxed with PBE.

Structure:
Unit cell a=9.0539 b=9.0539 c=9.0539 alpha=109.47 beta=109.47 gamma=109.47
Atoms (fractional coordinates):
Tb 0.0689 0.2661 0.8029
Tb 0.1971 0.4632 0.2661
Tb 0.1971 0.9311 0.7339
Tb 0.2661 0.1971 0.4632
Tb 0.2661 0.8029 0.0689
Tb 0.4632 0.2661 0.1971
Tb 0.5368 0.7339 0.8029
Tb 0.7339 0.1971 0.9311
Tb 0.7339 0.8029 0.5368
Tb 0.8029 0.0689 0.2661
Tb 0.8029 0.5368 0.7339
Tb 0.9311 0.7339 0.1971
Th 0.0000 0.0000 0.0000
Sc 0.1385 0.5000 0.6385
Sc 0.3615 0.8615 0.5000
Sc 0.5000 0.3615 0.8615
Sc 0.5000 0.6385 0.1385
Sc 0.6385 0.1385 0.5000
Sc 0.8615 0.5000 0.3615

Principal peaks in the range 2θ from 10° to 80°, low angle first:
d/Å	Rel. int.
7.392	27
3.306	19
3.018	100
2.794	96
2.614	54
2.464	18
2.050	17
1.793	22
1.696	34
1.478	23

---

Entry 8:
# Tb4Th3Sc2
Calculated powder diffractogram, λ = 1.5418 Å (Cu Kα). Input: a crystal structure in Alexandria, relaxed with PBE.

Structure:
Unit cell a=3.5044 b=3.5044 c=25.9923 alpha=90.00 beta=90.00 gamma=120.00
Atoms (fractional coordinates):
Tb 0.0000 0.0000 0.0000
Tb 0.0000 0.0000 0.2242
Tb 0.3333 0.6667 0.3370
Tb 0.3333 0.6667 0.5639
Th 0.0000 0.0000 0.4496
Th 0.3333 0.6667 0.1102
Th 0.3333 0.6667 0.7747
Sc 0.0000 0.0000 0.6674
Sc 0.0000 0.0000 0.8778

Principal peaks in the range 2θ from 10° to 80°, low angle first:
d/Å	Rel. int.
8.664	30
3.035	48
2.888	51
2.750	100
2.621	90
2.092	32
1.752	38
1.670	21
1.584	19
1.498	43

---

Entry 9:
# Tb15Th2Sc2
Calculated powder diffractogram, λ = 1.5418 Å (Cu Kα). Input: a crystal structure in Alexandria, relaxed with PBE.

Structure:
Unit cell a=8.7148 b=8.7148 c=8.7148 alpha=78.00 beta=78.00 gamma=78.00
Atoms (fractional coordinates):
Tb 0.0000 0.0000 0.5000
Tb 0.0000 0.3025 0.6975
Tb 0.0000 0.5000 0.0000
Tb 0.0000 0.6975 0.3025
Tb 0.1481 0.6271 0.6271
Tb 0.3025 0.0000 0.6975
Tb 0.3025 0.6975 0.0000
Tb 0.3729 0.3729 0.8519
Tb 0.3729 0.8519 0.3729
Tb 0.5000 0.0000 0.0000
Tb 0.6271 0.1481 0.6271
Tb 0.6271 0.6271 0.1481
Tb 0.6975 0.0000 0.3025
Tb 0.6975 0.3025 0.0000
Tb 0.8519 0.3729 0.3729
Th 0.0878 0.0878 0.0878
Th 0.9122 0.9122 0.9122
Sc 0.3055 0.3055 0.3055
Sc 0.6945 0.6945 0.6945

Principal peaks in the range 2θ from 10° to 80°, low angle first:
d/Å	Rel. int.
8.397	45
3.263	30
3.166	30
2.865	73
2.799	93
2.742	58
2.628	55
2.493	100
1.704	25
1.583	29

---

Entry 10:
# Tb3Th2Sc8
Calculated powder diffractogram, λ = 1.5418 Å (Cu Kα). Input: a crystal structure in Alexandria, relaxed with PBE.

Structure:
Unit cell a=11.8817 b=11.8817 c=11.8817 alpha=30.12 beta=30.12 gamma=30.12
Atoms (fractional coordinates):
Tb 0.0000 0.0000 0.0000
Tb 0.1854 0.1854 0.1854
Tb 0.8146 0.8146 0.8146
Th 0.3634 0.3634 0.3634
Th 0.6366 0.6366 0.6366
Sc 0.2260 0.7271 0.7271
Sc 0.2735 0.2735 0.2735
Sc 0.2729 0.2729 0.7740
Sc 0.2729 0.7740 0.2729
Sc 0.7271 0.2260 0.7271
Sc 0.7271 0.7271 0.2260
Sc 0.7265 0.7265 0.7265
Sc 0.7740 0.2729 0.2729

Principal peaks in the range 2θ from 10° to 80°, low angle first:
d/Å	Rel. int.
4.526	24
4.203	63
3.087	100
2.978	21
2.711	58
2.676	96
2.488	36
1.691	49
1.543	24
1.337	36

---

Entry 11:
# Tb12Th2Sc
Calculated powder diffractogram, λ = 1.5418 Å (Cu Kα). Input: a crystal structure in Alexandria, relaxed with PBE.

Structure:
Unit cell a=3.5292 b=5.5753 c=24.4069 alpha=90.00 beta=94.07 gamma=90.00
Atoms (fractional coordinates):
Tb 0.0387 0.0000 0.0706
Tb 0.2248 0.0000 0.4447
Tb 0.2868 0.5000 0.5786
Tb 0.3322 0.0000 0.6717
Tb 0.3969 0.0000 0.8010
Tb 0.4292 0.5000 0.8678
Tb 0.5708 0.5000 0.1322
Tb 0.6031 0.0000 0.1990
Tb 0.6678 0.0000 0.3283
Tb 0.7132 0.5000 0.4214
Tb 0.7752 0.0000 0.5553
Tb 0.9613 0.0000 0.9294
Th 0.1376 0.5000 0.2684
Th 0.8624 0.5000 0.7316
Sc 0.5000 0.5000 0.0000

Principal peaks in the range 2θ from 10° to 80°, low angle first:
d/Å	Rel. int.
2.951	65
2.933	41
2.851	56
2.788	80
2.759	41
2.741	100
2.671	54
2.074	22
1.961	31
1.491	24

---

Entry 12:
# Tb8ThSc5
Calculated powder diffractogram, λ = 1.5418 Å (Cu Kα). Input: a crystal structure in Alexandria, relaxed with PBE.

Structure:
Unit cell a=8.1519 b=8.1740 c=8.3242 alpha=115.80 beta=117.05 gamma=93.23
Atoms (fractional coordinates):
Tb 0.0000 0.0000 0.0000
Tb 0.0256 0.4951 0.1980
Tb 0.2008 0.9547 0.4443
Tb 0.2290 0.3829 0.5663
Tb 0.3262 0.3184 0.9864
Tb 0.5255 0.6805 0.5302
Tb 0.6684 0.6703 0.9848
Tb 0.8285 0.9827 0.5019
Th 0.9008 0.4885 0.7042
Sc 0.2943 0.8584 0.8039
Sc 0.3306 0.7505 0.1226
Sc 0.4664 0.1867 0.3557
Sc 0.6391 0.1893 0.7802
Sc 0.7265 0.1707 0.1882

Principal peaks in the range 2θ from 10° to 80°, low angle first:
d/Å	Rel. int.
3.404	23
2.966	15
2.818	16
2.776	100
2.706	45
2.689	51
2.659	48
2.638	53
1.868	18
1.530	19